Starting from the GGA+U geometry in Alexandria, the powder XRD pattern of LiV2Zn2Si2O10 was simulated for CuKα.

The 10 most intense peaks (2θ from 15° to 90°), low angle first:
| (hkl) | d/Å | I/Imax |
| --- | --- | --- |
| 1 0 0 | 4.641 | 42 |
| 1 0 1 | 3.814 | 100 |
| 1 0 -2 | 2.922 | 77 |
| 1 0 2 | 2.779 | 39 |
| 1 -2 0 | 2.633 | 49 |
| 1 2 0 | 2.589 | 51 |
| 0 2 -2 | 2.389 | 20 |
| 0 2 2 | 2.363 | 20 |
| 1 0 -3 | 2.180 | 27 |
| 0 4 0 | 1.579 | 19 |

Structural model:
Lattice parameters (Å, degrees): 4.6477 6.3183 7.2232 90.59 92.95 91.01
Space group P-1 (No. 2)
One atom of each set of equivalent atoms:
Li: 0.0000 0.0000 0.0000
V: 0.5000 0.0000 0.5000
V: 0.5000 0.5000 0.5000
Zn: 0.0551 0.7265 0.7695
Si: 0.0344 0.2542 0.7475
O: 0.0693 0.7352 0.0427
O: 0.2093 0.0289 0.7127
O: 0.2349 0.4623 0.7060
O: 0.2534 0.7467 0.3987
O: 0.3202 0.2699 0.3731